# Pr3Al4Si6
Calculated powder diffraction line list, Cu Kα (weighted mean of Kα1 and Kα2). Input: a GGA-PBE-relaxed structure.

Cell and atoms:
```
Pr3Al4Si6
1.0
4.202 0.000 0.000
-2.101 3.639 0.000
0.000 0.000 18.089
Pr Al Si
3 4 6
Direct
0.000 0.000 0.000
0.000 0.000 0.388
0.000 0.000 0.612
0.333 0.667 0.245
0.333 0.667 0.860
0.667 0.333 0.140
0.667 0.333 0.755
0.333 0.667 0.104
0.333 0.667 0.497
0.333 0.667 0.720
0.667 0.333 0.280
0.667 0.333 0.503
0.667 0.333 0.896
```

Peak list (10 most intense, 2θ from 10° to 90°, in order of falling intensity)
two_theta, Rel. int.
34.97, 100
28.65, 81
43.05, 57
24.46, 41
26.40, 38
60.12, 25
56.62, 25
73.68, 23
14.69, 18
47.33, 18

***

# TbPrAlSi
Calculated powder diffraction line list, Cu Kα (weighted mean of Kα1 and Kα2). Input: a GGA-PBE-relaxed structure.

Cell and atoms:
```
TbPrAlSi
1.0
4.049 0.000 0.000
0.000 4.424 0.000
0.000 0.000 11.191
Tb Pr Al Si
2 2 2 2
Direct
0.000 0.000 0.000
0.000 0.500 0.500
0.500 0.000 0.716
0.500 0.500 0.216
0.000 0.000 0.295
0.000 0.500 0.795
0.500 0.000 0.435
0.500 0.500 0.935
```

Peak list (10 most intense, 2θ from 10° to 90°, in order of falling intensity)
two_theta, Rel. int.
30.99, 100
27.19, 65
31.37, 58
21.60, 34
38.62, 30
31.99, 28
49.71, 26
50.99, 23
55.68, 23
40.79, 23

***

# Pr5Sm4Al
Calculated powder diffraction line list, Cu Kα (weighted mean of Kα1 and Kα2). Input: a GGA-PBE-relaxed structure.

Cell and atoms:
```
Pr5Sm4Al
1.0
-5.373 5.373 2.987
5.373 -5.373 2.987
5.373 5.373 -2.987
Pr Sm Al
5 4 1
Direct
0.000 0.000 0.000
0.129 0.129 0.631
0.129 0.498 0.000
0.498 0.129 0.000
0.498 0.498 0.369
0.118 0.805 0.314
0.491 0.805 0.686
0.805 0.118 0.314
0.805 0.491 0.686
0.524 0.524 0.000
```

Peak list (10 most intense, 2θ from 10° to 90°, in order of falling intensity)
two_theta, Rel. int.
29.06, 100
35.44, 33
29.91, 19
59.76, 18
47.03, 17
52.58, 14
50.99, 10
34.35, 9
44.81, 8
85.73, 8

***

# Pr5SmAl2
Calculated powder diffraction line list, Cu Kα (weighted mean of Kα1 and Kα2). Input: a GGA-PBE-relaxed structure.

Cell and atoms:
```
Pr5SmAl2
1.0
5.490 0.000 0.000
-2.745 4.754 0.000
0.000 0.000 20.267
Pr Sm Al
10 2 4
Direct
0.000 0.000 0.154
0.000 0.000 0.346
0.000 0.000 0.654
0.000 0.000 0.846
0.333 0.667 0.056
0.333 0.667 0.250
0.333 0.667 0.444
0.667 0.333 0.556
0.667 0.333 0.750
0.667 0.333 0.944
0.333 0.667 0.750
0.667 0.333 0.250
0.333 0.667 0.600
0.333 0.667 0.900
0.667 0.333 0.100
0.667 0.333 0.400
```

Peak list (10 most intense, 2θ from 10° to 90°, in order of falling intensity)
two_theta, Rel. int.
32.62, 100
32.52, 59
25.70, 57
58.18, 41
56.44, 30
46.73, 21
28.95, 18
22.87, 18
41.98, 15
54.16, 15

***

# Pr3SmAl
Calculated powder diffraction line list, Cu Kα (weighted mean of Kα1 and Kα2). Input: a GGA-PBE-relaxed structure.

Cell and atoms:
```
Pr3SmAl
1.0
3.783 0.000 0.000
-0.003 8.881 0.000
-1.890 -2.333 9.543
Pr Sm Al
6 2 2
Direct
0.001 0.295 0.002
0.185 0.377 0.372
0.198 0.823 0.395
0.802 0.177 0.605
0.815 0.623 0.628
0.999 0.705 0.998
0.406 0.958 0.810
0.594 0.042 0.190
0.397 0.435 0.794
0.603 0.565 0.206
```

Peak list (10 most intense, 2θ from 10° to 90°, in order of falling intensity)
two_theta, Rel. int.
31.07, 100
33.35, 59
30.71, 30
58.18, 19
25.69, 14
30.26, 13
58.39, 12
46.74, 11
48.11, 11
27.48, 11

***

# Pr3Sm12Al
Calculated powder diffraction line list, Cu Kα (weighted mean of Kα1 and Kα2). Input: a GGA-PBE-relaxed structure.

Cell and atoms:
```
Pr3Sm12Al
1.0
5.057 0.000 0.000
0.000 5.057 0.000
0.000 0.000 20.584
Pr Sm Al
3 12 1
Direct
0.000 0.000 0.000
0.000 0.000 0.255
0.000 0.000 0.745
0.000 0.500 0.128
0.000 0.500 0.385
0.000 0.500 0.615
0.000 0.500 0.872
0.500 0.000 0.128
0.500 0.000 0.385
0.500 0.000 0.615
0.500 0.000 0.872
0.500 0.500 0.000
0.500 0.500 0.258
0.500 0.500 0.500
0.500 0.500 0.742
0.000 0.000 0.500
```

Peak list (10 most intense, 2θ from 10° to 90°, in order of falling intensity)
two_theta, Rel. int.
30.44, 100
35.50, 34
60.64, 29
50.61, 22
34.87, 16
51.09, 12
59.80, 12
63.34, 11
82.46, 9
83.19, 6